No. 1
Structure and simulated powder diffraction line list of Dy4Er3Ag (a crystal structure in Alexandria, relaxed with PBE; Cu Ka).

Cell and atoms:
Lattice parameters (Å, degrees): 3.529 3.529 18.867 90.00 90.00 90.00
Positions (direct):
Dy  0.000  0.000  0.102
Dy  0.000  0.000  0.368
Dy  0.000  0.000  0.632
Dy  0.000  0.000  0.898
Er  0.500  0.500  0.236
Er  0.500  0.500  0.500
Er  0.500  0.500  0.764
Ag  0.500  0.500  0.000

Main lines, by intensity (15 to 90 degrees two-theta):
2θ/deg, I_rel
31.7, 100
36.0, 40
62.0, 29
53.5, 16
51.8, 14
38.2, 10
60.0, 9
66.1, 9
49.8, 7
29.0, 7

=====

No. 2
Structure and simulated powder diffraction line list of Pm5NdIn8 (a crystal structure in Alexandria, relaxed with PBE; Cu Ka).

Cell and atoms:
Lattice parameters (Å, degrees): 8.128 8.128 8.128 109.55 109.55 109.32
Positions (direct):
Pm  0.000  0.000  0.000
Pm  0.250  0.625  0.123
Pm  0.375  0.498  0.625
Pm  0.502  0.127  0.877
Pm  0.873  0.750  0.375
Nd  0.750  0.250  0.500
In  0.126  0.205  0.751
In  0.127  0.707  0.749
In  0.293  0.042  0.420
In  0.454  0.375  0.249
In  0.622  0.873  0.580
In  0.625  0.874  0.078
In  0.795  0.546  0.922
In  0.958  0.378  0.251

Main lines, by intensity (15 to 90 degrees two-theta):
2θ/deg, I_rel
30.1, 100
35.8, 89
60.9, 20
47.5, 17
23.2, 15
43.1, 13
45.3, 13
64.3, 12
60.7, 10
74.3, 9

=====

No. 3
Structure and simulated powder diffraction line list of Ga5SnRh3 (a crystal structure in Alexandria, relaxed with PBE; Cu Ka).

Cell and atoms:
Lattice parameters (Å, degrees): 7.158 7.158 8.912 116.14 116.14 77.72
Positions (direct):
Ga  0.216  0.765  0.324
Ga  0.224  0.776  0.000
Ga  0.235  0.784  0.676
Ga  0.271  0.271  0.334
Ga  0.275  0.275  0.014
Ga  0.725  0.725  0.986
Ga  0.729  0.729  0.666
Ga  0.765  0.216  0.324
Ga  0.776  0.224  0.000
Ga  0.784  0.235  0.676
Sn  0.274  0.274  0.669
Sn  0.726  0.726  0.331
Rh  0.000  0.000  0.500
Rh  0.003  0.003  0.835
Rh  0.494  0.494  0.335
Rh  0.500  0.500  0.000
Rh  0.506  0.506  0.665
Rh  0.997  0.997  0.165

Main lines, by intensity (15 to 90 degrees two-theta):
2θ/deg, I_rel
19.8, 100
39.2, 69
36.3, 67
40.2, 66
19.3, 60
57.4, 40
42.8, 37
51.9, 37
55.5, 34
33.6, 34

=====

No. 4
Structure and simulated powder diffraction line list of RbSb5Te7 (a crystal structure in Alexandria, relaxed with PBE; Cu Ka).

Cell and atoms:
Lattice parameters (Å, degrees): 4.537 26.693 7.862 90.00 106.11 90.00
Positions (direct):
Rb  0.217  0.250  0.412
Rb  0.783  0.750  0.588
Sb  0.000  0.000  0.000
Sb  0.000  0.500  0.000
Sb  0.254  0.572  0.525
Sb  0.254  0.928  0.525
Sb  0.475  0.145  0.926
Sb  0.475  0.355  0.926
Sb  0.525  0.645  0.074
Sb  0.525  0.855  0.074
Sb  0.746  0.072  0.475
Sb  0.746  0.428  0.475
Te  0.101  0.103  0.196
Te  0.101  0.397  0.196
Te  0.156  0.666  0.332
Te  0.156  0.834  0.332
Te  0.371  0.036  0.736
Te  0.371  0.464  0.736
Te  0.462  0.750  0.952
Te  0.538  0.250  0.048
Te  0.629  0.536  0.264
Te  0.629  0.964  0.264
Te  0.844  0.166  0.668
Te  0.844  0.334  0.668
Te  0.899  0.603  0.804
Te  0.899  0.897  0.804

Main lines, by intensity (15 to 90 degrees two-theta):
2θ/deg, I_rel
39.8, 100
26.2, 92
39.6, 78
28.2, 71
27.4, 65
28.5, 65
27.1, 64
29.3, 43
39.4, 38
42.7, 25